This entry pairs a crystal structure of Pu4InGa with its calculated powder diffractogram. Radiation: Cu Kα (λ = 1.5418 Å). Structure: a cell relaxed with GGA-PBE.
Intensities are scaled so that the largest is 100.

abc: 5.567 9.638 11.089
angles: 90.00 90.00 90.00
Space group Cccm (No. 66)
Inequivalent atoms, fractional coordinates:
Pu 0.000 0.170 0.250 x8
Pu 0.250 0.084 0.000 x8
In 0.000 0.500 0.250 x4
Ga 0.250 0.250 0.500 x4

Peak list (10 most intense, 2θ from 10° to 90°, by angle)
Position (°2θ)  I/Imax
32.17  24
32.29  44
33.20  38
36.11  100
40.58  22
46.23  18
59.95  23
60.10  23
67.31  22
76.62  23

=====

This entry pairs a crystal structure of Rb2In12Ga7 with its calculated powder diffractogram. Radiation: Cu Kα (λ = 1.5418 Å). Structure: a cell relaxed with GGA-PBE.
Intensities are scaled so that the largest is 100.

abc: 11.7127 11.7127 4.7655
angles: 90.00 90.00 120.00
Space group P-3 (No. 147)
Inequivalent atoms, fractional coordinates:
Rb 0.3333 0.6667 0.2467 x2
In 0.0648 0.6337 0.7482 x6
In 0.1151 0.8628 0.2310 x6
Ga 0.0000 0.0000 0.5000 x1
Ga 0.1058 0.4101 0.7433 x6

Peak list (10 most intense, 2θ from 10° to 90°, by angle)
Position (°2θ)  I/Imax
29.91  100
32.47  15
35.40  11
37.11  21
37.75  22
38.69  20
40.29  16
40.76  19
56.75  12
67.57  12

=====

This entry pairs a crystal structure of RbIn2Ga3 with its calculated powder diffractogram. Radiation: Cu Kα (λ = 1.5418 Å). Structure: a cell relaxed with GGA-PBE.
Intensities are scaled so that the largest is 100.

abc: 14.379 14.379 14.379
angles: 90.00 90.00 90.00
Space group Fd-3m (No. 227, origin choice 2)
Inequivalent atoms, fractional coordinates:
Rb 0.000 0.000 0.000 x16
In 0.012 0.012 0.738 x32
Ga 0.101 0.375 0.875 x48

Peak list (10 most intense, 2θ from 10° to 90°, by angle)
Position (°2θ)  I/Imax
17.44  9
21.41  19
27.03  26
30.46  9
35.31  100
45.03  12
50.80  14
52.06  15
63.38  24
75.71  11

=====

This entry pairs a crystal structure of RbIn3Ga3 with its calculated powder diffractogram. Radiation: Cu Kα (λ = 1.5418 Å). Structure: a cell relaxed with GGA-PBE.
Intensities are scaled so that the largest is 100.

abc: 9.967 4.544 9.981
angles: 90.00 119.85 90.00
Space group P2_1/m (No. 11)
Inequivalent atoms, fractional coordinates:
Rb 0.167 0.250 0.333 x2
In 0.224 0.250 0.920 x2
In 0.303 0.750 0.723 x2
In 0.420 0.750 0.197 x2
Ga 0.030 0.250 0.581 x2
Ga 0.081 0.750 0.051 x2
Ga 0.449 0.750 0.530 x2

Peak list (10 most intense, 2θ from 10° to 90°, by angle)
Position (°2θ)  I/Imax
27.30  38
28.50  100
33.79  88
35.96  14
36.94  37
37.49  23
39.67  34
48.82  15
55.74  21
68.23  15

=====

This entry pairs a crystal structure of RbIn12Ga4 with its calculated powder diffractogram. Radiation: Cu Kα (λ = 1.5418 Å). Structure: a cell relaxed with GGA-PBE.
Intensities are scaled so that the largest is 100.

abc: 9.906 9.906 9.906
angles: 90.00 90.00 90.00
Space group Im-3 (No. 204)
Inequivalent atoms, fractional coordinates:
Rb 0.000 0.000 0.000 x2
In 0.000 0.350 0.158 x24
Ga 0.250 0.250 0.250 x8

Peak list (10 most intense, 2θ from 10° to 90°, by angle)
Position (°2θ)  I/Imax
28.49  100
33.86  34
40.73  21
44.82  21
46.76  34
55.67  9
63.72  16
72.69  10
82.65  10
84.05  11

=====

This entry pairs a crystal structure of RbInGa with its calculated powder diffractogram. Radiation: Cu Kα (λ = 1.5418 Å). Structure: a cell relaxed with GGA-PBE.
Intensities are scaled so that the largest is 100.

abc: 6.911 4.356 7.135
angles: 90.00 93.55 90.00
Space group P2_1/m (No. 11)
Inequivalent atoms, fractional coordinates:
Rb 0.079 0.250 0.251 x2
In 0.402 0.250 0.829 x2
Ga 0.416 0.750 0.552 x2

Peak list (10 most intense, 2θ from 10° to 90°, by angle)
Position (°2θ)  I/Imax
12.83  47
27.63  100
28.04  34
29.47  42
32.48  31
34.45  66
34.92  24
40.95  23
41.46  30
53.08  25

=====

This entry pairs a crystal structure of RbIn4Ga4 with its calculated powder diffractogram. Radiation: Cu Kα (λ = 1.5418 Å). Structure: a cell relaxed with GGA-PBE.
Intensities are scaled so that the largest is 100.

abc: 7.008 7.008 10.114
angles: 90.00 90.00 90.00
Space group P4_2/nmc (No. 137, origin choice 2)
Inequivalent atoms, fractional coordinates:
Rb 0.250 0.750 0.250 x2
In 0.010 0.250 0.094 x8
Ga 0.063 0.250 0.378 x8

Peak list (10 most intense, 2θ from 10° to 90°, by angle)
Position (°2θ)  I/Imax
15.38  21
26.93  25
29.40  63
29.85  100
35.50  20
36.26  45
39.25  32
47.34  40
51.65  36
52.21  28

=====

This entry pairs a crystal structure of RbInGa4 with its calculated powder diffractogram. Radiation: Cu Kα (λ = 1.5418 Å). Structure: a cell relaxed with GGA-PBE.
Intensities are scaled so that the largest is 100.

abc: 8.501 16.753 4.440
angles: 90.00 90.00 90.00
Space group Pbam (No. 55)
Inequivalent atoms, fractional coordinates:
Rb 0.130 0.151 0.000 x4
In 0.141 0.410 0.000 x4
Ga 0.015 0.694 0.500 x4
Ga 0.114 0.550 0.500 x4
Ga 0.136 0.965 0.500 x4
Ga 0.210 0.813 0.500 x4

Peak list (10 most intense, 2θ from 10° to 90°, by angle)
Position (°2θ)  I/Imax
11.67  26
14.85  22
27.73  25
29.32  55
29.58  100
31.19  57
33.31  82
38.06  23
40.64  56
41.75  24

=====

This entry pairs a crystal structure of Rb4In4Ga with its calculated powder diffractogram. Radiation: Cu Kα (λ = 1.5418 Å). Structure: a cell relaxed with GGA-PBE.
Intensities are scaled so that the largest is 100.

abc: 6.924 7.732 14.522
angles: 90.00 90.00 90.00
Space group I222 (No. 23)
Inequivalent atoms, fractional coordinates:
Rb 0.215 0.152 0.348 x8
In 0.161 0.137 0.083 x8
Ga 0.000 0.500 0.500 x2

Peak list (10 most intense, 2θ from 10° to 90°, by angle)
Position (°2θ)  I/Imax
12.19  28
12.97  65
21.66  30
24.52  27
27.12  100
28.92  28
30.10  80
32.33  69
33.88  40
43.02  27

=====

This entry pairs a crystal structure of Rb2InGaTe4 with its calculated powder diffractogram. Radiation: Cu Kα (λ = 1.5418 Å). Structure: a cell relaxed with GGA-PBE.
Intensities are scaled so that the largest is 100.

abc: 6.917 15.440 25.918
angles: 90.00 90.00 90.00
Space group Fddd (No. 70, origin choice 2)
Inequivalent atoms, fractional coordinates:
Rb 0.125 0.125 0.310 x16
In 0.125 0.125 0.125 x8
Ga 0.125 0.125 0.625 x8
Te 0.110 0.276 0.817 x32

Peak list (10 most intense, 2θ from 10° to 90°, by angle)
Position (°2θ)  I/Imax
13.35  37
13.67  28
21.80  29
23.89  76
27.60  100
33.18  42
35.54  31
43.64  28
43.85  31
44.28  31

=====

This entry pairs a crystal structure of RbInGaTe4 with its calculated powder diffractogram. Radiation: Cu Kα (λ = 1.5418 Å). Structure: a cell relaxed with GGA-PBE.
Intensities are scaled so that the largest is 100.

abc: 7.337 7.288 10.879
angles: 90.00 104.24 90.00
Space group P2_1/m (No. 11)
Inequivalent atoms, fractional coordinates:
Rb 0.216 0.250 0.047 x2
In 0.303 0.250 0.689 x2
Ga 0.205 0.750 0.307 x2
Te 0.039 0.523 0.713 x4
Te 0.365 0.750 0.112 x2
Te 0.495 0.250 0.490 x2

Peak list (10 most intense, 2θ from 10° to 90°, by angle)
Position (°2θ)  I/Imax
14.78  77
23.34  100
24.40  54
25.35  92
27.50  93
29.30  38
31.00  53
39.91  77
42.05  52
42.90  36

=====

This entry pairs a crystal structure of Tb4InGaRu2 with its calculated powder diffractogram. Radiation: Cu Kα (λ = 1.5418 Å). Structure: a cell relaxed with GGA-PBE.
Intensities are scaled so that the largest is 100.

abc: 5.0173 5.0173 24.6237
angles: 90.00 90.00 120.00
Space group R-3m (No. 166, hexagonal axes)
Inequivalent atoms, fractional coordinates:
Tb 0.0000 0.0000 0.1221 x6
Tb 0.0000 0.0000 0.3723 x6
In 0.0000 0.0000 0.5000 x3
Ga 0.0000 0.0000 0.0000 x3
Ru 0.0000 0.0000 0.2494 x6

Peak list (10 most intense, 2θ from 10° to 90°, by angle)
Position (°2θ)  I/Imax
25.09  6
35.77  100
44.19  2
51.49  17
58.11  3
64.26  26
64.32  9
75.74  5
75.85  6
86.75  16

=====

Copy entry 9 word for word.
This entry pairs a crystal structure of Rb4In4Ga with its calculated powder diffractogram. Radiation: Cu Kα (λ = 1.5418 Å). Structure: a cell relaxed with GGA-PBE.
Intensities are scaled so that the largest is 100.

abc: 6.924 7.732 14.522
angles: 90.00 90.00 90.00
Space group I222 (No. 23)
Inequivalent atoms, fractional coordinates:
Rb 0.215 0.152 0.348 x8
In 0.161 0.137 0.083 x8
Ga 0.000 0.500 0.500 x2

Peak list (10 most intense, 2θ from 10° to 90°, by angle)
Position (°2θ)  I/Imax
12.19  28
12.97  65
21.66  30
24.52  27
27.12  100
28.92  28
30.10  80
32.33  69
33.88  40
43.02  27

=====

Repeat the third record exactly.
This entry pairs a crystal structure of RbIn2Ga3 with its calculated powder diffractogram. Radiation: Cu Kα (λ = 1.5418 Å). Structure: a cell relaxed with GGA-PBE.
Intensities are scaled so that the largest is 100.

abc: 14.379 14.379 14.379
angles: 90.00 90.00 90.00
Space group Fd-3m (No. 227, origin choice 2)
Inequivalent atoms, fractional coordinates:
Rb 0.000 0.000 0.000 x16
In 0.012 0.012 0.738 x32
Ga 0.101 0.375 0.875 x48

Peak list (10 most intense, 2θ from 10° to 90°, by angle)
Position (°2θ)  I/Imax
17.44  9
21.41  19
27.03  26
30.46  9
35.31  100
45.03  12
50.80  14
52.06  15
63.38  24
75.71  11